Starting from DFT lattice parameters and positions (GGA+U), the powder XRD pattern of BaMgMoF7 was computed for copper Kα.
No peak broadening, texture or thermal motion is included.

Cell and atoms:
```
data_BaMgMoF7
_chemical_formula_sum 'Ba4 Mg4 Mo4 F28'
_cell_length_a 5.749
_cell_length_b 10.266
_cell_length_c 9.941
_cell_angle_alpha 90.00
_cell_angle_beta 92.66
_cell_angle_gamma 90.00
_symmetry_space_group_name_H-M 'P 1 21/c 1'
_symmetry_Int_Tables_number 14
_symmetry_space_group_name_Hall '-P 2ybc'
loop_
_atom_site_label
_atom_site_fract_x
_atom_site_fract_y
_atom_site_fract_z
Ba1 0.232 0.170 0.005
Mg1 0.187 0.609 0.809
Mo1 0.305 0.610 0.184
F1 0.014 0.718 0.248
F2 0.099 0.540 0.632
F3 0.127 0.061 0.626
F4 0.238 0.695 0.991
F5 0.370 0.042 0.374
F6 0.395 0.542 0.375
F7 0.469 0.714 0.745
```

Top 10 peaks for 5° ≤ 2θ ≤ 70°, low angle first:
hkl  two_theta  I_rel
1 2 -1  24.7  100
1 2 1  25.2  18
1 1 2  25.8  50
0 1 3  28.3  27
2 0 0  31.1  19
0 3 3  37.8  18
1 4 1  39.7  45
0 2 4  40.4  17
3 2 -1  51.4  20
1 2 5  52.6  19